Simulated X-ray diffraction stick pattern of Li3Mg2In5 for copper Kα, from a DFT-relaxed cell (GGA-PBE, Alexandria).
Kinematic intensities with the Lorentz-polarization factor, no thermal factor.

a b c (Å): 9.493 9.493 9.493
angles (deg): 106.27 85.15 143.56
Sites, in units of the cell vectors:
Li  0.144  0.649  0.793
Li  0.250  0.250  0.000
Li  0.356  0.149  0.505
Li  0.644  0.851  0.495
Li  0.750  0.750  0.000
Li  0.856  0.351  0.207
Mg  0.204  0.382  0.585
Mg  0.296  0.882  0.178
Mg  0.704  0.118  0.822
Mg  0.796  0.618  0.415
In  0.166  0.104  0.269
In  0.250  0.014  0.764
In  0.250  0.486  0.236
In  0.250  0.750  0.500
In  0.334  0.604  0.938
In  0.666  0.396  0.062
In  0.750  0.250  0.500
In  0.750  0.514  0.764
In  0.750  0.986  0.236
In  0.834  0.896  0.731

Peak list (10 most intense, 10 to 80 degrees two-theta, sorted by position)
12.66°, rel. 68
20.59°, rel. 70
22.55°, rel. 45
30.73°, rel. 59
32.78°, rel. 100
34.00°, rel. 90
38.64°, rel. 44
39.84°, rel. 48
44.07°, rel. 59
60.04°, rel. 44


Simulated X-ray diffraction stick pattern of LiMg6In3 for copper Kα, from a DFT-relaxed cell (GGA-PBE, Alexandria).
Kinematic intensities with the Lorentz-polarization factor, no thermal factor.

a b c (Å): 11.558 3.206 13.179
angles (deg): 90.00 107.97 90.00
Sites, in units of the cell vectors:
Li  0.080  0.250  0.195
Li  0.920  0.750  0.805
Mg  0.131  0.750  0.019
Mg  0.149  0.250  0.816
Mg  0.211  0.250  0.601
Mg  0.260  0.750  0.402
Mg  0.337  0.250  0.220
Mg  0.391  0.750  0.798
Mg  0.609  0.250  0.202
Mg  0.663  0.750  0.780
Mg  0.740  0.250  0.598
Mg  0.789  0.750  0.399
Mg  0.851  0.750  0.184
Mg  0.869  0.250  0.981
In  0.013  0.250  0.384
In  0.375  0.250  0.006
In  0.466  0.250  0.603
In  0.534  0.750  0.397
In  0.625  0.750  0.994
In  0.987  0.750  0.616

Peak list (10 most intense, 10 to 80 degrees two-theta, sorted by position)
14.13°, rel. 51
15.48°, rel. 33
16.12°, rel. 52
21.26°, rel. 45
31.26°, rel. 100
35.53°, rel. 68
35.81°, rel. 67
36.22°, rel. 64
37.11°, rel. 45
37.77°, rel. 36


Simulated X-ray diffraction stick pattern of Li7Mg2In2 for copper Kα, from a DFT-relaxed cell (GGA-PBE, Alexandria).
Kinematic intensities with the Lorentz-polarization factor, no thermal factor.

a b c (Å): 6.862 6.862 4.999
angles (deg): 104.88 104.88 91.56
Sites, in units of the cell vectors:
Li  0.000  0.000  0.000
Li  0.065  0.595  0.842
Li  0.405  0.935  0.158
Li  0.418  0.418  0.210
Li  0.582  0.582  0.790
Li  0.595  0.065  0.842
Li  0.935  0.405  0.158
Mg  0.212  0.212  0.599
Mg  0.788  0.788  0.401
In  0.235  0.765  0.500
In  0.765  0.235  0.500

Peak list (10 most intense, 10 to 80 degrees two-theta, sorted by position)
18.04°, rel. 57
19.10°, rel. 100
19.95°, rel. 47
21.99°, rel. 45
26.39°, rel. 47
27.02°, rel. 85
28.59°, rel. 67
37.49°, rel. 54
40.95°, rel. 29
43.06°, rel. 29


Simulated X-ray diffraction stick pattern of Li6Mg2In3 for copper Kα, from a DFT-relaxed cell (GGA-PBE, Alexandria).
Kinematic intensities with the Lorentz-polarization factor, no thermal factor.

a b c (Å): 10.735 10.735 10.735
angles (deg): 152.44 152.44 39.37
Sites, in units of the cell vectors:
Li  0.105  0.605  0.500
Li  0.209  0.209  0.000
Li  0.395  0.895  0.500
Li  0.605  0.105  0.500
Li  0.791  0.791  0.000
Li  0.895  0.395  0.500
Mg  0.068  0.068  0.000
Mg  0.932  0.932  0.000
In  0.348  0.348  0.000
In  0.500  0.500  0.000
In  0.652  0.652  0.000

Peak list (10 most intense, 10 to 80 degrees two-theta, sorted by position)
17.89°, rel. 100
21.82°, rel. 21
24.62°, rel. 90
28.14°, rel. 19
35.09°, rel. 44
35.71°, rel. 68
36.45°, rel. 34
39.66°, rel. 27
50.93°, rel. 48
56.94°, rel. 17


Simulated X-ray diffraction stick pattern of Li9Mg4In11 for copper Kα, from a DFT-relaxed cell (GGA-PBE, Alexandria).
Kinematic intensities with the Lorentz-polarization factor, no thermal factor.

a b c (Å): 12.597 12.597 3.244
angles (deg): 90.00 90.00 101.76
Sites, in units of the cell vectors:
Li  0.000  0.000  0.000
Li  0.106  0.648  0.000
Li  0.304  0.499  0.000
Li  0.352  0.894  0.000
Li  0.499  0.304  0.000
Li  0.501  0.696  0.000
Li  0.648  0.106  0.000
Li  0.696  0.501  0.000
Li  0.894  0.352  0.000
Mg  0.076  0.236  0.000
Mg  0.236  0.076  0.000
Mg  0.764  0.924  0.000
Mg  0.924  0.764  0.000
In  0.103  0.449  0.500
In  0.136  0.864  0.500
In  0.295  0.295  0.500
In  0.306  0.694  0.500
In  0.449  0.103  0.500
In  0.500  0.500  0.500
In  0.551  0.897  0.500
In  0.694  0.306  0.500
In  0.705  0.705  0.500
In  0.864  0.136  0.500
In  0.897  0.551  0.500

Peak list (10 most intense, 10 to 80 degrees two-theta, sorted by position)
22.37°, rel. 70
23.44°, rel. 46
27.38°, rel. 37
27.50°, rel. 60
35.70°, rel. 100
36.42°, rel. 80
39.19°, rel. 47
39.97°, rel. 25
45.60°, rel. 26
46.23°, rel. 39


Simulated X-ray diffraction stick pattern of Li2Mg7In for copper Kα, from a DFT-relaxed cell (GGA-PBE, Alexandria).
Kinematic intensities with the Lorentz-polarization factor, no thermal factor.

a b c (Å): 8.006 8.006 4.872
angles (deg): 90.00 90.00 119.34
Sites, in units of the cell vectors:
Li  0.202  0.798  0.000
Li  0.798  0.202  0.000
Mg  0.000  0.000  0.000
Mg  0.200  0.431  0.000
Mg  0.281  0.719  0.500
Mg  0.431  0.200  0.000
Mg  0.569  0.800  0.000
Mg  0.719  0.281  0.500
Mg  0.800  0.569  0.000
In  0.500  0.500  0.500

Peak list (10 most intense, 10 to 80 degrees two-theta, sorted by position)
12.68°, rel. 100
12.81°, rel. 27
22.25°, rel. 55
28.69°, rel. 36
28.87°, rel. 29
31.75°, rel. 34
34.14°, rel. 35
38.73°, rel. 47
39.11°, rel. 55
51.14°, rel. 23


Simulated X-ray diffraction stick pattern of Li5Mg2In for copper Kα, from a DFT-relaxed cell (GGA-PBE, Alexandria).
Kinematic intensities with the Lorentz-polarization factor, no thermal factor.

a b c (Å): 7.470 7.470 7.470
angles (deg): 142.42 142.42 54.20
Sites, in units of the cell vectors:
Li  0.000  0.000  0.000
Li  0.117  0.617  0.500
Li  0.383  0.883  0.500
Li  0.617  0.117  0.500
Li  0.883  0.383  0.500
Mg  0.257  0.257  0.000
Mg  0.743  0.743  0.000
In  0.500  0.500  0.000

Peak list (10 most intense, 10 to 80 degrees two-theta, sorted by position)
13.31°, rel. 23
19.62°, rel. 100
26.19°, rel. 45
26.81°, rel. 21
27.35°, rel. 38
37.37°, rel. 28
37.83°, rel. 54
38.68°, rel. 20
42.55°, rel. 27
67.72°, rel. 18


Simulated X-ray diffraction stick pattern of Li2Mg8In3 for copper Kα, from a DFT-relaxed cell (GGA-PBE, Alexandria).
Kinematic intensities with the Lorentz-polarization factor, no thermal factor.

a b c (Å): 11.216 11.216 11.216
angles (deg): 30.24 30.24 30.24
Sites, in units of the cell vectors:
Li  0.137  0.137  0.137
Li  0.863  0.863  0.863
Mg  0.223  0.223  0.223
Mg  0.226  0.226  0.727
Mg  0.226  0.727  0.226
Mg  0.273  0.774  0.774
Mg  0.727  0.226  0.226
Mg  0.774  0.273  0.774
Mg  0.774  0.774  0.273
Mg  0.777  0.777  0.777
In  0.315  0.315  0.315
In  0.500  0.500  0.500
In  0.685  0.685  0.685

Peak list (10 most intense, 10 to 80 degrees two-theta, sorted by position)
16.58°, rel. 25
17.72°, rel. 76
22.36°, rel. 84
30.56°, rel. 77
33.04°, rel. 33
34.96°, rel. 77
35.52°, rel. 100
37.22°, rel. 24
38.19°, rel. 50
57.57°, rel. 39


Simulated X-ray diffraction stick pattern of Li12Mg5In2 for copper Kα, from a DFT-relaxed cell (GGA-PBE, Alexandria).
Kinematic intensities with the Lorentz-polarization factor, no thermal factor.

a b c (Å): 10.521 10.521 4.769
angles (deg): 102.99 102.99 49.30
Sites, in units of the cell vectors:
Li  0.047  0.577  0.811
Li  0.081  0.081  0.082
Li  0.127  0.708  0.418
Li  0.292  0.873  0.582
Li  0.397  0.397  0.897
Li  0.423  0.953  0.189
Li  0.577  0.047  0.811
Li  0.603  0.603  0.103
Li  0.708  0.127  0.418
Li  0.873  0.292  0.582
Li  0.919  0.919  0.918
Li  0.953  0.423  0.189
Mg  0.208  0.208  0.709
Mg  0.313  0.313  0.314
Mg  0.500  0.500  0.500
Mg  0.687  0.687  0.686
Mg  0.792  0.792  0.291
In  0.276  0.724  0.000
In  0.724  0.276  0.000

Peak list (10 most intense, 10 to 80 degrees two-theta, sorted by position)
11.16°, rel. 21
19.19°, rel. 100
22.42°, rel. 72
23.57°, rel. 67
28.04°, rel. 97
36.92°, rel. 90
37.73°, rel. 24
38.91°, rel. 21
44.23°, rel. 24
44.33°, rel. 23


Simulated X-ray diffraction stick pattern of Li4Mg3In2 for copper Kα, from a DFT-relaxed cell (GGA-PBE, Alexandria).
Kinematic intensities with the Lorentz-polarization factor, no thermal factor.

a b c (Å): 4.816 4.816 8.723
angles (deg): 90.00 90.00 120.00
Sites, in units of the cell vectors:
Li  0.000  0.000  0.171
Li  0.000  0.000  0.829
Li  0.333  0.667  0.396
Li  0.667  0.333  0.604
Mg  0.000  0.000  0.500
Mg  0.333  0.667  0.071
Mg  0.667  0.333  0.929
In  0.333  0.667  0.725
In  0.667  0.333  0.275

Peak list (10 most intense, 10 to 80 degrees two-theta, sorted by position)
20.36°, rel. 21
21.30°, rel. 26
23.65°, rel. 100
29.64°, rel. 38
37.35°, rel. 54
37.71°, rel. 60
42.90°, rel. 18
44.68°, rel. 18
54.12°, rel. 20
67.60°, rel. 20


Simulated X-ray diffraction stick pattern of Li2MgIn6 for copper Kα, from a DFT-relaxed cell (GGA-PBE, Alexandria).
Kinematic intensities with the Lorentz-polarization factor, no thermal factor.

a b c (Å): 9.316 9.316 3.192
angles (deg): 99.60 99.60 52.57
Sites, in units of the cell vectors:
Li  0.000  0.000  0.000
Li  0.717  0.717  0.719
Mg  0.359  0.359  0.861
In  0.006  0.364  0.184
In  0.040  0.678  0.360
In  0.353  0.712  0.535
In  0.364  0.006  0.184
In  0.678  0.040  0.360
In  0.712  0.353  0.535

Peak list (10 most intense, 10 to 80 degrees two-theta, sorted by position)
19.47°, rel. 67
21.54°, rel. 64
28.48°, rel. 67
32.74°, rel. 69
35.99°, rel. 42
36.57°, rel. 100
39.26°, rel. 25
39.50°, rel. 48
44.88°, rel. 47
60.96°, rel. 19


Simulated X-ray diffraction stick pattern of Li2Mg3In3 for copper Kα, from a DFT-relaxed cell (GGA-PBE, Alexandria).
Kinematic intensities with the Lorentz-polarization factor, no thermal factor.

a b c (Å): 4.418 4.449 8.833
angles (deg): 90.00 90.00 90.00
Sites, in units of the cell vectors:
Li  0.000  0.000  0.245
Li  0.000  0.000  0.755
Mg  0.500  0.000  0.500
Mg  0.500  0.500  0.249
Mg  0.500  0.500  0.751
In  0.000  0.500  0.000
In  0.000  0.500  0.500
In  0.500  0.000  0.000

Peak list (10 most intense, 10 to 80 degrees two-theta, sorted by position)
10.01°, rel. 20
20.10°, rel. 54
28.47°, rel. 46
35.10°, rel. 100
40.56°, rel. 17
40.86°, rel. 33
45.92°, rel. 16
50.56°, rel. 18
58.93°, rel. 21
70.68°, rel. 24